This entry pairs a crystal structure of Li4SbAsIr2 with its calculated powder XRD pattern. Radiation: Cu Kα X-rays. Structure: DFT lattice parameters and positions (PBE).

Main lines, in order of rising 2θ (2θ = 5–70°):
h k l	2theta	intensity
1 0 1	25.30	1000
1 1 0	29.58	63
1 1 2	41.69	547
2 0 0	42.33	272
1 0 3	48.82	157
2 1 1	49.96	320
0 0 4	59.43	43
2 2 0	61.41	91
2 1 3	66.57	125
3 0 1	67.51	65

Crystal structure
```
data_Li4SbAsIr2
_symmetry_space_group_name_H-M 'P -4 m 2'
_symmetry_Int_Tables_number 115
_cell_length_a 4.270
_cell_length_b 4.270
_cell_length_c 6.221
_cell_angle_alpha 90.00
_cell_angle_beta 90.00
_cell_angle_gamma 90.00
loop_
_symmetry_equiv_pos_as_xyz
'x,y,z'
'y,-x,-z'
'-x,-y,z'
'-y,x,-z'
'-x,y,z'
'-y,-x,-z'
'x,-y,z'
'y,x,-z'
loop_
_atom_site_label
_atom_site_type_symbol
_atom_site_fract_x
_atom_site_fract_y
_atom_site_fract_z
_atom_site_occupancy
Li1 Li 0.000 0.000 0.000 1
Li2 Li 0.000 0.500 0.726 1
Li3 Li 0.500 0.500 0.500 1
Sb1 Sb 0.500 0.500 0.000 1
As1 As 0.000 0.000 0.500 1
Ir1 Ir 0.000 0.500 0.269 1
```


This entry pairs a crystal structure of SrZnCuGe2 with its calculated powder XRD pattern. Radiation: Cu Kα X-rays. Structure: DFT lattice parameters and positions (PBE).

Main lines, in order of rising 2θ (2θ = 5–70°):
h k l	2theta	intensity
1 1 0	29.44	124
1 0 3	32.86	666
1 1 2	34.06	1000
2 0 0	42.13	699
1 1 4	45.48	316
1 0 5	47.91	291
2 1 3	54.44	310
1 1 6	60.73	128
2 2 0	61.10	224
2 1 5	65.68	223

Crystal structure
```
data_SrZnCuGe2
_symmetry_space_group_name_H-M 'I -4 m 2'
_symmetry_Int_Tables_number 119
_symmetry_space_group_name_Hall 'I -4 -2'
_cell_length_a 4.290
_cell_length_b 4.290
_cell_length_c 10.586
_cell_angle_alpha 90.00
_cell_angle_beta 90.00
_cell_angle_gamma 90.00
loop_
_atom_site_label
_atom_site_type_symbol
_atom_site_fract_x
_atom_site_fract_y
_atom_site_fract_z
_atom_site_occupancy
Sr1 Sr 0.000 0.000 0.000 1
Zn1 Zn 0.000 0.500 0.750 1
Cu1 Cu 0.000 0.500 0.250 1
Ge1 Ge 0.000 0.000 0.380 1
```


This entry pairs a crystal structure of Sc4CdC2Se with its calculated powder XRD pattern. Radiation: Cu Kα X-rays. Structure: DFT lattice parameters and positions (PBE).

Main lines, in order of rising 2θ (2θ = 5–70°):
h k l	2theta	intensity
0 0 2	12.69	167
1 0 0	30.09	249
1 0 1	30.78	131
1 0 2	32.77	173
1 0 3	35.88	1000
0 0 6	38.73	107
1 0 5	44.56	148
1 1 0	53.44	248
2 0 3	66.05	151
1 1 6	67.93	115

Crystal structure
```
data_Sc4CdC2Se
_symmetry_space_group_name_H-M 'P -6 m 2'
_symmetry_Int_Tables_number 187
_symmetry_space_group_name_Hall 'P -6 2'
_cell_length_a 3.4294
_cell_length_b 3.4294
_cell_length_c 13.9490
_cell_angle_alpha 90.00
_cell_angle_beta 90.00
_cell_angle_gamma 120.00
loop_
_atom_site_label
_atom_site_type_symbol
_atom_site_fract_x
_atom_site_fract_y
_atom_site_fract_z
_atom_site_occupancy
Sc1 Sc 0.0000 0.0000 0.1354 1
Sc2 Sc 0.3333 0.6667 0.3089 1
Cd1 Cd 0.0000 0.0000 0.5000 1
C1 C 0.6667 0.3333 0.2253 1
Se1 Se 0.3333 0.6667 0.0000 1
```


This entry pairs a crystal structure of PdPtAu with its calculated powder XRD pattern. Radiation: Cu Kα X-rays. Structure: DFT lattice parameters and positions (PBE).

Main lines, in order of rising 2θ (2θ = 5–70°):
h k l	2theta	intensity
1 1 1	25.04	457
2 0 0	28.99	55
2 2 0	41.46	1000
3 1 1	49.05	233
2 2 2	51.39	14
4 0 0	60.08	169
3 3 1	66.13	97
4 2 0	68.07	18

Crystal structure
```
data_PdPtAu
_symmetry_space_group_name_H-M 'F -4 3 m'
_symmetry_Int_Tables_number 216
_symmetry_space_group_name_Hall 'F -4 2 3'
_cell_length_a 6.160
_cell_length_b 6.160
_cell_length_c 6.160
_cell_angle_alpha 90.00
_cell_angle_beta 90.00
_cell_angle_gamma 90.00
loop_
_atom_site_label
_atom_site_type_symbol
_atom_site_fract_x
_atom_site_fract_y
_atom_site_fract_z
_atom_site_occupancy
Pd1 Pd 0.000 0.000 0.000 1
Pt1 Pt 0.000 0.000 0.500 1
Au1 Au 0.250 0.250 0.250 1
```


This entry pairs a crystal structure of TbSm2Sn4Au4 with its calculated powder XRD pattern. Radiation: Cu Kα X-rays. Structure: DFT lattice parameters and positions (PBE).

Main lines, in order of rising 2θ (2θ = 5–70°):
h k l	2theta	intensity
0 1 5	31.30	232
1 2 1	31.83	1000
1 1 4	32.47	664
0 0 6	34.62	328
1 2 3	35.87	393
2 0 0	38.78	512
0 3 3	41.19	316
1 2 5	42.95	421
2 0 6	52.95	199
2 3 3	57.85	234

Crystal structure
```
data_TbSm2Sn4Au4
_symmetry_space_group_name_H-M 'I m m m'
_symmetry_Int_Tables_number 71
_symmetry_space_group_name_Hall '-I 2 2'
_cell_length_a 4.644
_cell_length_b 7.255
_cell_length_c 15.547
_cell_angle_alpha 90.00
_cell_angle_beta 90.00
_cell_angle_gamma 90.00
loop_
_atom_site_label
_atom_site_type_symbol
_atom_site_fract_x
_atom_site_fract_y
_atom_site_fract_z
_atom_site_occupancy
Tb1 Tb 0.000 0.000 0.000 1
Sm1 Sm 0.000 0.500 0.129 1
Sn1 Sn 0.000 0.000 0.213 1
Sn2 Sn 0.000 0.199 0.500 1
Au1 Au 0.000 0.298 0.331 1
```


This entry pairs a crystal structure of Ba3SrZn2 with its calculated powder XRD pattern. Radiation: Cu Kα X-rays. Structure: DFT lattice parameters and positions (PBE).

Main lines, in order of rising 2θ (2θ = 5–70°):
h k l	2theta	intensity
1 0 1	22.48	237
0 0 4	24.24	155
1 0 3	28.36	1000
1 1 0	30.78	588
1 0 5	37.65	303
1 1 4	39.56	170
2 0 0	44.09	216
2 1 3	53.26	336
2 1 5	59.34	156
1 1 8	59.57	160

Crystal structure
```
data_Ba3SrZn2
_symmetry_space_group_name_H-M 'P 4 m m'
_symmetry_Int_Tables_number 99
_cell_length_a 4.108
_cell_length_b 4.108
_cell_length_c 14.687
_cell_angle_alpha 90.00
_cell_angle_beta 90.00
_cell_angle_gamma 90.00
loop_
_symmetry_equiv_pos_as_xyz
'x,y,z'
'-y,x,z'
'-x,-y,z'
'y,-x,z'
'-x,y,z'
'y,x,z'
'x,-y,z'
'-y,-x,z'
loop_
_atom_site_label
_atom_site_type_symbol
_atom_site_fract_x
_atom_site_fract_y
_atom_site_fract_z
_atom_site_occupancy
Ba1 Ba 0.000 0.000 0.000 1
Ba2 Ba 0.000 0.000 0.264 1
Ba3 Ba 0.500 0.500 0.506 1
Sr1 Sr 0.500 0.500 0.764 1
Zn1 Zn 0.000 0.000 0.641 1
Zn2 Zn 0.500 0.500 0.134 1
```


This entry pairs a crystal structure of Fe6W with its calculated powder XRD pattern. Radiation: Cu Kα X-rays. Structure: DFT lattice parameters and positions (PBE).

Main lines, in order of rising 2θ (2θ = 5–70°):
h k l	2theta	intensity
0 0 3	21.24	160
1 0 1	22.35	207
0 1 2	25.55	301
1 0 4	35.74	579
0 1 5	41.95	440
2 -1 3	43.18	491
0 2 1	43.77	1000
2 0 2	45.61	422
1 1 6	58.30	346
2 1 4	66.04	161

Crystal structure
```
data_Fe6W
_symmetry_space_group_name_H-M 'R -3'
_symmetry_Int_Tables_number 148
_symmetry_space_group_name_Hall '-R 3'
_cell_length_a 4.8428
_cell_length_b 4.8428
_cell_length_c 12.5475
_cell_angle_alpha 90.00
_cell_angle_beta 90.00
_cell_angle_gamma 120.00
loop_
_atom_site_label
_atom_site_type_symbol
_atom_site_fract_x
_atom_site_fract_y
_atom_site_fract_z
_atom_site_occupancy
Fe1 Fe 0.0066 0.5316 0.4086 1
W1 W 0.0000 0.0000 0.5000 1
```


This entry pairs a crystal structure of Lu2Hf4Sb3C3 with its calculated powder XRD pattern. Radiation: Cu Kα X-rays. Structure: DFT lattice parameters and positions (PBE).

Main lines, in order of rising 2θ (2θ = 5–70°):
h k l	2theta	intensity
0 2 0	29.94	239
3 1 -4	35.53	1000
0 0 6	37.93	178
0 2 6	49.06	94
6 0 -2	53.15	216
6 2 -5	65.56	110
6 2 1	65.61	56
3 1 -10	66.96	150
6 0 -8	67.11	99
3 3 5	67.17	95

Crystal structure
```
data_Lu2Hf4Sb3C3
_symmetry_space_group_name_H-M 'C 1 2/c 1'
_symmetry_Int_Tables_number 15
_cell_length_a 10.335
_cell_length_b 5.972
_cell_length_c 14.648
_cell_angle_alpha 90.00
_cell_angle_beta 103.67
_cell_angle_gamma 90.00
loop_
_symmetry_equiv_pos_as_xyz
'x,y,z'
'-x,-y,-z'
'-x,y,-z+1/2'
'x,-y,z+1/2'
'x+1/2,y+1/2,z'
'-x+1/2,-y+1/2,-z'
'-x+1/2,y+1/2,-z+1/2'
'x+1/2,-y+1/2,z+1/2'
loop_
_atom_site_label
_atom_site_type_symbol
_atom_site_fract_x
_atom_site_fract_y
_atom_site_fract_z
_atom_site_occupancy
Lu1 Lu 0.050 0.081 0.408 1
Hf1 Hf 0.111 0.412 0.583 1
Hf2 Hf 0.224 0.419 0.917 1
Sb1 Sb 0.000 0.440 0.250 1
Sb2 Sb 0.179 0.094 0.751 1
C1 C 0.086 0.259 0.000 1
C2 C 0.250 0.250 0.500 1
```


Please write out number 6 again, unchanged.
This entry pairs a crystal structure of Ba3SrZn2 with its calculated powder XRD pattern. Radiation: Cu Kα X-rays. Structure: DFT lattice parameters and positions (PBE).

Main lines, in order of rising 2θ (2θ = 5–70°):
h k l	2theta	intensity
1 0 1	22.48	237
0 0 4	24.24	155
1 0 3	28.36	1000
1 1 0	30.78	588
1 0 5	37.65	303
1 1 4	39.56	170
2 0 0	44.09	216
2 1 3	53.26	336
2 1 5	59.34	156
1 1 8	59.57	160

Crystal structure
```
data_Ba3SrZn2
_symmetry_space_group_name_H-M 'P 4 m m'
_symmetry_Int_Tables_number 99
_cell_length_a 4.108
_cell_length_b 4.108
_cell_length_c 14.687
_cell_angle_alpha 90.00
_cell_angle_beta 90.00
_cell_angle_gamma 90.00
loop_
_symmetry_equiv_pos_as_xyz
'x,y,z'
'-y,x,z'
'-x,-y,z'
'y,-x,z'
'-x,y,z'
'y,x,z'
'x,-y,z'
'-y,-x,z'
loop_
_atom_site_label
_atom_site_type_symbol
_atom_site_fract_x
_atom_site_fract_y
_atom_site_fract_z
_atom_site_occupancy
Ba1 Ba 0.000 0.000 0.000 1
Ba2 Ba 0.000 0.000 0.264 1
Ba3 Ba 0.500 0.500 0.506 1
Sr1 Sr 0.500 0.500 0.764 1
Zn1 Zn 0.000 0.000 0.641 1
Zn2 Zn 0.500 0.500 0.134 1
```